Theoretical PXRD pattern
Compound: MoIr
Radiation: a wavelength of 1.5418 Å
Structure: the PBE geometry in the Materials Project

Atomic structure:
a = 4.463 Å, b = 2.775 Å, c = 4.862 Å
α = 90.00°, β = 90.00°, γ = 90.00°
Atoms (fractional coordinates):
1 Mo 0.250 0.000 0.171
2 Mo 0.750 0.000 0.829
3 Ir 0.250 0.500 0.674
4 Ir 0.750 0.500 0.326

Top 10 peaks for 2θ = 10–90°, low angle first:
two_theta  Rel. int.
27.12  17
36.98  15
37.31  20
40.42  37
42.34  44
42.63  100
66.85  16
75.03  19
81.12  20
83.00  13

Theoretical PXRD pattern
Compound: YCu2
Radiation: a wavelength of 1.5418 Å
Structure: the PBE geometry in the Materials Project

Atomic structure:
a = 5.272 Å, b = 5.272 Å, c = 8.407 Å
α = 90.00°, β = 90.00°, γ = 119.76°
Atoms (fractional coordinates):
1 Y 0.167 0.833 0.558
2 Y 0.167 0.833 0.942
3 Y 0.833 0.167 0.058
4 Y 0.833 0.167 0.442
5 Cu 0.169 0.335 0.750
6 Cu 0.335 0.169 0.250
7 Cu 0.335 0.665 0.250
8 Cu 0.500 0.500 0.000
9 Cu 0.500 0.500 0.500
10 Cu 0.665 0.335 0.750
11 Cu 0.665 0.831 0.750
12 Cu 0.831 0.665 0.250

Top 10 peaks for 2θ = 10–90°, low angle first:
two_theta  Rel. int.
34.01  35
37.65  95
40.28  50
40.39  100
40.87  71
41.01  35
43.03  25
63.28  27
69.35  27
71.59  23